The following is a calculated powder XRD pattern of Na2PuVO4. It was derived from a GGA+U-relaxed structure, using Cu Kα, 1.54184 Å.

Largest 10 diffraction maxima, sorted by position, 2θ from 15° to 90°:
- 16.0°, intensity 100, (0 0 1)
- 16.8°, intensity 43, (1 0 0)
- 19.2°, intensity 33, (1 0 -1)
- 31.0°, intensity 22, (0 1 1)
- 31.4°, intensity 43, (1 1 0)
- 32.3°, intensity 22, (0 0 2)
- 32.8°, intensity 39, (1 1 -1)
- 37.9°, intensity 59, (1 1 1)
- 39.0°, intensity 27, (2 0 -2)
- 54.4°, intensity 19, (1 1 -3)

Cell and atoms:
Unit cell a=5.562 b=3.384 c=5.840 alpha=90.00 beta=108.25 gamma=90.00
Space group P2/m (No. 10)
One atom of each set of equivalent atoms:
Na  0.000  0.000  0.000 [1 per cell]
Na  0.500  0.500  0.000 [1 per cell]
Pu  0.000  0.500  0.500 [1 per cell]
V  0.500  0.000  0.500 [1 per cell]
O  0.243  0.000  0.716 [2 per cell]
O  0.270  0.500  0.293 [2 per cell]